No. 1
Structure and computed powder diffractogram of NaAg2GeF8 (a PBE-relaxed structure; a wavelength of 1.5418 Å).
Neutral-atom scattering factors, no anomalous dispersion.

Structural model:
```
data_NaAg2GeF8
_cell_length_a 5.1252
_cell_length_b 6.9752
_cell_length_c 5.2369
_cell_angle_alpha 90.00
_cell_angle_beta 95.03
_cell_angle_gamma 90.00
_symmetry_space_group_name_H-M 'P 1 2/m 1'
_symmetry_Int_Tables_number 10
_symmetry_space_group_name_Hall '-P 2y'
loop_
_atom_site_label
_atom_site_type_symbol
_atom_site_fract_x
_atom_site_fract_y
_atom_site_fract_z
Na1 Na 0.0000 0.0000 0.0000
Ag1 Ag 0.5000 0.2527 0.5000
Ge1 Ge 0.0000 0.5000 0.0000
F1 F 0.1666 0.3117 0.8376
F2 F 0.2722 0.5000 0.2694
F3 F 0.3152 0.0000 0.3110
```

Top 10 peaks for 15° ≤ 2θ ≤ 90°, by angle:
- 2θ = 23.28°, I = 100, (1 0 -1)
- 2θ = 25.47°, I = 74, (1 0 1)
- 2θ = 30.84°, I = 54, (0 2 1)
- 2θ = 31.05°, I = 53, (1 2 0)
- 2θ = 36.37°, I = 28, (1 2 1)
- 2θ = 45.76°, I = 32, (1 2 -2)
- 2θ = 46.22°, I = 29, (2 2 -1)
- 2θ = 48.22°, I = 24, (1 2 2)
- 2θ = 48.66°, I = 23, (2 2 1)
- 2θ = 59.39°, I = 18, (0 2 3)

No. 2
Structure and computed powder diffractogram of AgH3F6 (a PBE-relaxed structure; a wavelength of 1.5418 Å).
Neutral-atom scattering factors, no anomalous dispersion.

Structural model:
```
data_AgH3F6
_cell_length_a 5.5547
_cell_length_b 6.6321
_cell_length_c 8.1928
_cell_angle_alpha 94.51
_cell_angle_beta 98.09
_cell_angle_gamma 114.13
_symmetry_space_group_name_H-M 'P -1'
_symmetry_Int_Tables_number 2
_symmetry_space_group_name_Hall '-P 1'
loop_
_atom_site_label
_atom_site_type_symbol
_atom_site_fract_x
_atom_site_fract_y
_atom_site_fract_z
Ag1 Ag 0.0000 0.0000 0.0000
Ag2 Ag 0.0000 0.0000 0.5000
H1 H 0.0632 0.5478 0.3159
H2 H 0.1506 0.6880 0.8836
H3 H 0.4500 0.7318 0.4457
F1 F 0.1101 0.5927 0.7295
F2 F 0.1224 0.0637 0.7428
F3 F 0.1814 0.7704 0.0036
F4 F 0.2727 0.7403 0.3899
F5 F 0.3283 0.2676 0.4823
F6 F 0.3329 0.2451 0.1039
```

Top 10 peaks for 15° ≤ 2θ ≤ 90°, by angle:
- 2θ = 17.68°, I = 67, (1 -1 0)
- 2θ = 17.82°, I = 100, (1 0 0)
- 2θ = 22.17°, I = 53, (0 0 2)
- 2θ = 24.80°, I = 58, (0 1 -2)
- 2θ = 27.51°, I = 90, (1 -2 0)
- 2θ = 27.77°, I = 29, (1 1 0)
- 2θ = 29.41°, I = 18, (1 -1 2)
- 2θ = 35.80°, I = 40, (2 -2 0)
- 2θ = 45.48°, I = 25, (1 0 -4)
- 2θ = 50.28°, I = 19, (2 -3 2)

No. 3
Structure and computed powder diffractogram of AgH2F8 (a PBE-relaxed structure; a wavelength of 1.5418 Å).
Neutral-atom scattering factors, no anomalous dispersion.

Structural model:
```
data_AgH2F8
_cell_length_a 6.2419
_cell_length_b 6.9195
_cell_length_c 7.3588
_cell_angle_alpha 90.00
_cell_angle_beta 95.66
_cell_angle_gamma 90.00
_symmetry_space_group_name_H-M 'C 1 2/m 1'
_symmetry_Int_Tables_number 12
_symmetry_space_group_name_Hall '-C 2y'
loop_
_atom_site_label
_atom_site_type_symbol
_atom_site_fract_x
_atom_site_fract_y
_atom_site_fract_z
Ag1 Ag 0.0000 0.0000 0.0000
H1 H 0.1256 0.5000 0.3257
F1 F 0.1127 0.5000 0.1654
F2 F 0.1262 0.1888 0.1787
F3 F 0.1521 0.5000 0.4814
```

Top 10 peaks for 15° ≤ 2θ ≤ 90°, by angle:
- 2θ = 19.20°, I = 46, (1 1 0)
- 2θ = 21.97°, I = 88, (1 1 -1)
- 2θ = 23.50°, I = 100, (1 1 1)
- 2θ = 25.75°, I = 39, (0 2 0)
- 2θ = 30.00°, I = 25, (1 1 -2)
- 2θ = 30.13°, I = 80, (2 0 -1)
- 2θ = 35.70°, I = 47, (0 2 2)
- 2θ = 36.03°, I = 27, (2 0 -2)
- 2θ = 44.07°, I = 26, (1 3 1)
- 2θ = 49.71°, I = 27, (1 3 2)

No. 4
Structure and computed powder diffractogram of Ag2H2IOF (a PBE-relaxed structure; a wavelength of 1.5418 Å).
Neutral-atom scattering factors, no anomalous dispersion.

Structural model:
```
data_Ag2H2IOF
_cell_length_a 4.9271
_cell_length_b 7.8619
_cell_length_c 6.5256
_cell_angle_alpha 90.00
_cell_angle_beta 90.52
_cell_angle_gamma 90.00
_symmetry_space_group_name_H-M 'P 1 21 1'
_symmetry_Int_Tables_number 4
_symmetry_space_group_name_Hall 'P 2yb'
loop_
_atom_site_label
_atom_site_type_symbol
_atom_site_fract_x
_atom_site_fract_y
_atom_site_fract_z
Ag1 Ag 0.0003 0.0000 0.2154
Ag2 Ag 0.0087 0.9949 0.7842
H1 H 0.2995 0.7835 0.4987
H2 H 0.4534 0.9711 0.4998
I1 I 0.3097 0.2511 0.0017
O1 O 0.2721 0.9108 0.4993
F1 F 0.2850 0.5833 0.4997
```

Top 10 peaks for 15° ≤ 2θ ≤ 90°, by angle:
- 2θ = 18.00°, I = 65, (1 0 0)
- 2θ = 21.28°, I = 28, (1 1 0)
- 2θ = 25.24°, I = 37, (1 1 -1)
- 2θ = 25.42°, I = 39, (1 1 1)
- 2θ = 29.06°, I = 100, (1 2 0)
- 2θ = 32.79°, I = 34, (1 0 -2)
- 2θ = 33.07°, I = 33, (1 0 2)
- 2θ = 35.77°, I = 78, (0 2 2)
- 2θ = 43.35°, I = 42, (2 2 0)
- 2θ = 47.80°, I = 29, (0 2 3)

No. 5
Structure and computed powder diffractogram of KAgH2F4 (a PBE-relaxed structure; a wavelength of 1.5418 Å).
Neutral-atom scattering factors, no anomalous dispersion.

Structural model:
```
data_KAgH2F4
_cell_length_a 5.3780
_cell_length_b 5.8870
_cell_length_c 6.8064
_cell_angle_alpha 90.00
_cell_angle_beta 90.00
_cell_angle_gamma 90.00
_symmetry_space_group_name_H-M 'I 2 2 2'
_symmetry_Int_Tables_number 23
_symmetry_space_group_name_Hall 'I 2 2'
loop_
_atom_site_label
_atom_site_type_symbol
_atom_site_fract_x
_atom_site_fract_y
_atom_site_fract_z
K1 K 0.0000 0.0000 0.0000
Ag1 Ag 0.0000 0.0000 0.5000
H1 H 0.0000 0.5000 0.2156
F1 F 0.1635 0.3736 0.7831
```

Top 10 peaks for 15° ≤ 2θ ≤ 90°, by angle:
- 2θ = 19.94°, I = 42, (0 1 1)
- 2θ = 21.05°, I = 19, (1 0 1)
- 2θ = 22.39°, I = 67, (1 1 0)
- 2θ = 30.37°, I = 26, (0 2 0)
- 2θ = 34.72°, I = 100, (1 1 2)
- 2θ = 37.24°, I = 23, (1 2 1)
- 2θ = 40.52°, I = 22, (0 2 2)
- 2θ = 42.86°, I = 27, (2 0 2)
- 2θ = 49.44°, I = 16, (1 3 0)
- 2θ = 53.43°, I = 35, (3 1 0)

No. 6
Structure and computed powder diffractogram of K2AgHF6 (a PBE-relaxed structure; a wavelength of 1.5418 Å).
Neutral-atom scattering factors, no anomalous dispersion.

Structural model:
```
data_K2AgHF6
_cell_length_a 6.4236
_cell_length_b 6.4236
_cell_length_c 7.4787
_cell_angle_alpha 90.00
_cell_angle_beta 90.00
_cell_angle_gamma 90.00
_symmetry_space_group_name_H-M 'I 4/m m m'
_symmetry_Int_Tables_number 139
_symmetry_space_group_name_Hall '-I 4 2'
loop_
_atom_site_label
_atom_site_type_symbol
_atom_site_fract_x
_atom_site_fract_y
_atom_site_fract_z
K1 K 0.0000 0.5000 0.2500
Ag1 Ag 0.0000 0.0000 0.0000
H1 H 0.0000 0.0000 0.5000
F1 F 0.0000 0.0000 0.3449
F2 F 0.2164 0.2164 0.0000
```

Top 10 peaks for 15° ≤ 2θ ≤ 90°, by angle:
- 2θ = 18.21°, I = 100, (1 0 1)
- 2θ = 19.54°, I = 22, (1 1 0)
- 2θ = 27.78°, I = 44, (2 0 0)
- 2θ = 30.98°, I = 85, (1 1 2)
- 2θ = 33.41°, I = 22, (2 1 1)
- 2θ = 38.75°, I = 37, (1 0 3)
- 2θ = 39.69°, I = 55, (2 2 0)
- 2θ = 48.34°, I = 24, (2 1 3)
- 2θ = 51.18°, I = 33, (3 1 2)
- 2θ = 64.26°, I = 18, (3 2 3)